1.
Starting from a PBE-relaxed structure, the powder X-ray diffraction pattern of CuBi2Te2O was simulated for Cu Kα.
Neutral-atom scattering factors, no anomalous dispersion.

The 10 most intense peaks (2θ = 10–90°), by angle:
21.37°, I 458; 27.40°, I 1000; 35.01°, I 539; 38.71°, I 157; 39.14°, I 390; 45.02°, I 273; 52.21°, I 216; 59.97°, I 142; 63.96°, I 183; 68.27°, I 165

Cell and atoms:
```
CuBi2Te2O
1.0
3.2547 0.0000 0.0000
0.0000 3.2547 0.0000
0.0000 0.0000 16.6304
Cu Bi Te O
1 2 2 1
Direct
0.0000 0.0000 0.0000 Cu
0.0000 0.0000 0.3746 Bi
0.0000 0.0000 0.6254 Bi
0.0000 0.0000 0.1483 Te
0.0000 0.0000 0.8517 Te
0.0000 0.0000 0.5000 O
```



2.
Starting from a PBE-relaxed structure, the powder X-ray diffraction pattern of ThZnRh2 was simulated for Cu Kα.
Neutral-atom scattering factors, no anomalous dispersion.

The 10 most intense peaks (2θ = 10–90°), by angle:
23.05°, I 210; 26.68°, I 32; 38.09°, I 1000; 44.99°, I 116; 54.96°, I 172; 60.38°, I 51; 68.83°, I 348; 73.66°, I 39; 81.48°, I 110; 86.08°, I 42

Cell and atoms:
```
ThZnRh2
1.0
0.0000 3.3412 3.3412
3.3412 0.0000 3.3412
3.3412 3.3412 0.0000
Th Zn Rh
1 1 2
Direct
0.0000 0.0000 0.0000 Th
0.5000 0.5000 0.5000 Zn
0.2500 0.2500 0.2500 Rh
0.7500 0.7500 0.7500 Rh
```